# 1
This entry pairs a crystal structure of Sr2CoCu2O7 with its calculated PXRD pattern. Radiation: Cu Ka. Structure: the PBE+U geometry in Alexandria.
Lines closer than 0.1° are merged.

Peak list (10 most intense, 5° ≤ 2θ ≤ 70°, in order of rising 2θ)
two_theta	intensity
25.39	259
28.29	872
32.60	1000
34.62	381
34.81	406
35.96	367
37.90	394
49.90	468
50.77	245
50.91	260

Structural model:
Lattice parameters (Å, degrees): 13.0114 13.0114 13.0114 32.63 157.02 157.15
Fractional coordinates of all 24 atoms:
Sr: 0.0022 0.1492 0.1513
Sr: 0.0022 0.3508 0.3530
Sr: 0.9978 0.6492 0.6470
Sr: 0.9978 0.8508 0.8487
Co: 0.4780 0.7957 0.1822
Co: 0.6135 0.2957 0.8178
Cu: 0.5006 0.5617 0.0601
Cu: 0.5006 0.9405 0.4388
Cu: 0.5016 0.0617 0.5612
Cu: 0.5016 0.4405 0.9399
O: 0.0012 0.1748 0.6728
O: 0.0010 0.3280 0.8276
O: 0.0010 0.6734 0.1730
O: 0.0012 0.8284 0.3264
O: 0.0061 0.6631 0.8430
O: 0.4904 0.1804 0.6748
O: 0.4904 0.3156 0.8100
O: 0.5004 0.1734 0.1724
O: 0.5004 0.8280 0.8270
O: 0.5020 0.3284 0.3272
O: 0.5020 0.6748 0.6736
O: 0.5057 0.6804 0.1900
O: 0.5057 0.8156 0.3252
O: 0.8201 0.1631 0.1570

---

# 2
This entry pairs a crystal structure of Co3Cu3Te2O16 with its calculated PXRD pattern. Radiation: Cu Ka. Structure: the PBE+U geometry in Alexandria.
Lines closer than 0.1° are merged.

Peak list (10 most intense, 5° ≤ 2θ ≤ 70°, in order of rising 2θ)
two_theta	intensity
19.45	268
19.85	305
20.13	676
20.47	1000
36.22	293
36.99	284
37.21	250
37.33	301
37.55	326
64.40	316

Structural model:
Lattice parameters (Å, degrees): 5.7903 5.7903 9.1330 91.87 91.87 59.46
Fractional coordinates of all 24 atoms:
Co: 0.0000 0.0000 0.0000
Co: 0.3381 0.8308 0.5009
Co: 0.8308 0.3381 0.5009
Cu: 0.0005 0.5045 0.0010
Cu: 0.3363 0.3363 0.5016
Cu: 0.5045 0.0005 0.0010
Te: 0.5033 0.5033 0.2262
Te: 0.8424 0.8424 0.7216
O: 0.0062 0.4960 0.6219
O: 0.0074 0.0074 0.6150
O: 0.1438 0.7000 0.8704
O: 0.1615 0.1615 0.9081
O: 0.1640 0.1640 0.4078
O: 0.2022 0.6615 0.3726
O: 0.3296 0.8391 0.1233
O: 0.3324 0.3324 0.1204
O: 0.4960 0.0062 0.6219
O: 0.5070 0.5070 0.5992
O: 0.6519 0.6519 0.3815
O: 0.6615 0.2022 0.3726
O: 0.6920 0.6920 0.8652
O: 0.7000 0.1438 0.8704
O: 0.8391 0.3296 0.1233
O: 0.8440 0.8440 0.0979

---

# 3
This entry pairs a crystal structure of Co3Cu3Te2O12 with its calculated PXRD pattern. Radiation: Cu Ka. Structure: the PBE+U geometry in Alexandria.
Lines closer than 0.1° are merged.

Peak list (10 most intense, 5° ≤ 2θ ≤ 70°, in order of rising 2θ)
two_theta	intensity
18.31	187
22.47	87
26.01	81
32.00	1000
37.11	261
43.82	58
45.88	81
47.87	84
53.49	390
63.70	284

Structural model:
Lattice parameters (Å, degrees): 8.3918 8.3918 8.3918 109.47 109.47 109.47
Fractional coordinates of all 40 atoms:
Co: 0.2134 0.9634 0.2500
Co: 0.2500 0.2134 0.9634
Co: 0.2866 0.5366 0.7500
Co: 0.5366 0.7500 0.2866
Co: 0.7500 0.2866 0.5366
Co: 0.9634 0.2500 0.2134
Cu: 0.0308 0.7500 0.7808
Cu: 0.2500 0.7192 0.4692
Cu: 0.4692 0.2500 0.7192
Cu: 0.7192 0.4692 0.2500
Cu: 0.7500 0.7808 0.0308
Cu: 0.7808 0.0308 0.7500
Te: 0.0000 0.9921 0.5000
Te: 0.5000 0.0000 0.9921
Te: 0.5079 0.5079 0.5079
Te: 0.9921 0.5000 0.0000
O: 0.0132 0.9510 0.7204
O: 0.0397 0.2803 0.9880
O: 0.0517 0.5120 0.7923
O: 0.2072 0.9378 0.4868
O: 0.2197 0.2594 0.7077
O: 0.2406 0.4603 0.4483
O: 0.2594 0.7077 0.2197
O: 0.2803 0.9880 0.0397
O: 0.2928 0.7796 0.7306
O: 0.4483 0.2406 0.4603
O: 0.4603 0.4483 0.2406
O: 0.4868 0.2072 0.9378
O: 0.5120 0.7923 0.0517
O: 0.5490 0.5622 0.7694
O: 0.5622 0.7694 0.5490
O: 0.7077 0.2197 0.2594
O: 0.7204 0.0132 0.9510
O: 0.7306 0.2928 0.7796
O: 0.7694 0.5490 0.5622
O: 0.7796 0.7306 0.2928
O: 0.7923 0.0517 0.5120
O: 0.9378 0.4868 0.2072
O: 0.9510 0.7204 0.0132
O: 0.9880 0.0397 0.2803

---

# 4
This entry pairs a crystal structure of UCoCu2O6 with its calculated PXRD pattern. Radiation: Cu Ka. Structure: the PBE+U geometry in Alexandria.
Lines closer than 0.1° are merged.

Peak list (10 most intense, 5° ≤ 2θ ≤ 70°, in order of rising 2θ)
two_theta	intensity
20.50	390
20.80	433
21.07	385
23.38	315
23.61	319
31.27	678
32.01	595
32.21	631
34.40	549
34.91	1000

Structural model:
Lattice parameters (Å, degrees): 5.1354 5.1469 5.6147 64.50 63.09 60.95
Fractional coordinates of all 10 atoms:
U: 0.0000 0.0000 0.0000
Co: 0.4977 0.4877 0.5211
Cu: 0.2428 0.2443 0.2570
Cu: 0.8073 0.7827 0.6103
O: 0.1396 0.3716 0.7599
O: 0.2301 0.8529 0.3120
O: 0.3990 0.7248 0.7610
O: 0.6114 0.2588 0.2668
O: 0.7357 0.1163 0.7462
O: 0.8596 0.6099 0.3012

---

Please write out number 1 again, unchanged.
This entry pairs a crystal structure of Sr2CoCu2O7 with its calculated PXRD pattern. Radiation: Cu Ka. Structure: the PBE+U geometry in Alexandria.
Lines closer than 0.1° are merged.

Peak list (10 most intense, 5° ≤ 2θ ≤ 70°, in order of rising 2θ)
two_theta	intensity
25.39	259
28.29	872
32.60	1000
34.62	381
34.81	406
35.96	367
37.90	394
49.90	468
50.77	245
50.91	260

Structural model:
Lattice parameters (Å, degrees): 13.0114 13.0114 13.0114 32.63 157.02 157.15
Fractional coordinates of all 24 atoms:
Sr: 0.0022 0.1492 0.1513
Sr: 0.0022 0.3508 0.3530
Sr: 0.9978 0.6492 0.6470
Sr: 0.9978 0.8508 0.8487
Co: 0.4780 0.7957 0.1822
Co: 0.6135 0.2957 0.8178
Cu: 0.5006 0.5617 0.0601
Cu: 0.5006 0.9405 0.4388
Cu: 0.5016 0.0617 0.5612
Cu: 0.5016 0.4405 0.9399
O: 0.0012 0.1748 0.6728
O: 0.0010 0.3280 0.8276
O: 0.0010 0.6734 0.1730
O: 0.0012 0.8284 0.3264
O: 0.0061 0.6631 0.8430
O: 0.4904 0.1804 0.6748
O: 0.4904 0.3156 0.8100
O: 0.5004 0.1734 0.1724
O: 0.5004 0.8280 0.8270
O: 0.5020 0.3284 0.3272
O: 0.5020 0.6748 0.6736
O: 0.5057 0.6804 0.1900
O: 0.5057 0.8156 0.3252
O: 0.8201 0.1631 0.1570